# 1
Computed powder diffractogram of CuRe2I for copper Kα, from a crystal structure in OQMD, relaxed with GGA-PBE.

Crystal structure
Cell: 7.4333 9.6124 4.4568 Å, 90.00 90.00 90.00°
Space group Cmcm (No. 63)
Symmetry-distinct sites (fractional):
1 Cu 0.0000 0.0000 0.0000
2 Re 0.1649 0.2294 0.2500
3 I 0.0000 0.3810 0.7500

The 10 most intense peaks (2θ = 5–70°), sorted by position:
- (0 2 0), d = 4.806 Å, 18.46 deg, rel. 74
- (1 1 1), d = 3.552 Å, 25.07 deg, rel. 19
- (0 2 1), d = 3.268 Å, 27.29 deg, rel. 37
- (2 2 0), d = 2.940 Å, 30.40 deg, rel. 40
- (1 3 1), d = 2.455 Å, 36.60 deg, rel. 57
- (0 0 2), d = 2.228 Å, 40.48 deg, rel. 24
- (3 1 1), d = 2.113 Å, 42.80 deg, rel. 100
- (0 2 2), d = 2.021 Å, 44.85 deg, rel. 44
- (3 3 1), d = 1.794 Å, 50.89 deg, rel. 17
- (2 4 2), d = 1.496 Å, 62.05 deg, rel. 18

# 2
Computed powder diffractogram of Cu5SbS3I2 for copper Kα, from a crystal structure in OQMD, relaxed with GGA-PBE.

Crystal structure
Cell: 10.5669 12.8719 7.4056 Å, 90.00 90.00 90.00°
Space group Pnnm (No. 58)
Symmetry-distinct sites (fractional):
1 Cu 0.0170 0.1498 0.1734
2 Cu 0.2326 0.9810 0.5000
3 Cu 0.2417 0.2502 0.2710
4 Sb 0.1993 0.4963 0.5000
5 S 0.1733 0.9137 0.2416
6 S 0.1909 0.1712 0.0000
7 I 0.0370 0.2530 0.5000
8 I 0.1097 0.6339 0.0000

The 10 most intense peaks (2θ = 5–70°), sorted by position:
- (2 2 0), d = 4.084 Å, 21.76 deg, rel. 30
- (2 2 1), d = 3.576 Å, 24.90 deg, rel. 31
- (1 1 2), d = 3.372 Å, 26.43 deg, rel. 28
- (3 2 0), d = 3.089 Å, 28.91 deg, rel. 29
- (3 2 1), d = 2.852 Å, 31.37 deg, rel. 31
- (1 4 1), d = 2.843 Å, 31.47 deg, rel. 67
- (2 2 2), d = 2.744 Å, 32.63 deg, rel. 100
- (4 4 0), d = 2.041 Å, 44.39 deg, rel. 23
- (3 2 3), d = 1.928 Å, 47.14 deg, rel. 22
- (2 6 2), d = 1.751 Å, 52.23 deg, rel. 38

# 3
Computed powder diffractogram of ZnCuI4 for copper Kα, from a crystal structure in OQMD, relaxed with GGA-PBE.

Crystal structure
Cell: 4.1274 4.1274 12.9110 Å, 90.00 90.00 90.00°
Space group P-4m2 (No. 115)
Symmetry-distinct sites (fractional):
1 Zn 0.0000 0.0000 0.0000
2 Cu 0.5000 0.5000 0.5000
3 I 0.0000 0.5000 0.3800
4 I 0.0000 0.5000 0.8721

The 10 most intense peaks (2θ = 5–70°), sorted by position:
- (0 0 2), d = 6.456 Å, 13.72 deg, rel. 9
- (1 0 1), d = 3.931 Å, 22.62 deg, rel. 11
- (1 0 2), d = 3.477 Å, 25.62 deg, rel. 100
- (0 0 4), d = 3.228 Å, 27.64 deg, rel. 10
- (1 1 0), d = 2.918 Å, 30.63 deg, rel. 16
- (1 1 4), d = 2.165 Å, 41.72 deg, rel. 44
- (2 0 0), d = 2.064 Å, 43.87 deg, rel. 19
- (1 0 6), d = 1.908 Å, 47.66 deg, rel. 18
- (2 1 2), d = 1.775 Å, 51.49 deg, rel. 29
- (2 1 6), d = 1.401 Å, 66.77 deg, rel. 13